Starting from a crystal structure in Alexandria, relaxed with PBE, the powder X-ray diffraction pattern of Mg2H5Ir3 was calculated for λ = 1.5418 Å (Cu Kα).

Atomic structure:
```
Mg2H5Ir3
1.0
7.0173 -1.4687 0.0000
7.0173 1.4687 0.0000
-0.6544 0.0000 4.7356
Mg H Ir
2 5 3
Direct
0.0000 0.0000 0.0000
0.1786 0.1786 0.5974
0.1929 0.1929 0.0326
0.4369 0.4369 0.1758
0.5792 0.5792 0.8085
0.5997 0.5997 0.3227
0.7676 0.7676 0.2907
0.3097 0.3097 0.1107
0.5072 0.5072 0.5006
0.8410 0.8410 0.6343
```

Most intense lines, 10° ≤ 2θ ≤ 80°, low angle first:
2θ 12.7, rel. 100; 2θ 25.6, rel. 37; 2θ 36.1, rel. 55; 2θ 38.9, rel. 28; 2θ 39.8, rel. 55; 2θ 42.3, rel. 52